No. 1
Structure and computed PXRD pattern of DyGaPd2 (DFT lattice parameters and positions (PBE); Cu Kα (weighted mean of Kα1 and Kα2)).
Kinematic intensities with the Lorentz-polarization factor, no thermal factor.

Main lines, by angle (10 to 90 degrees two-theta):
2θ/deg  d [Å]  intensity  (hkl)
31.54  2.837  53  2 1 1
32.01  2.796  42  1 2 1
34.19  2.622  29  1 0 2
34.85  2.575  78  2 2 0
36.49  2.463  100  1 1 2
38.47  2.340  53  2 2 1
39.91  2.259  60  3 0 1
42.73  2.116  31  1 2 2
42.92  2.107  42  1 3 1
63.57  1.464  35  4 3 0

Cell lengths 7.403, 7.167, 5.608 Å; angles 90.00, 90.00, 90.00 degrees
Space group Pnma (No. 62)
Unique sites:
Dy  0.032  0.250  0.149 x4
Ga  0.117  0.750  0.352 x4
Pd  0.181  0.051  0.588 x8


No. 2
Structure and computed PXRD pattern of LaCo5H4 (DFT lattice parameters and positions (PBE); Cu Kα (weighted mean of Kα1 and Kα2)).
Kinematic intensities with the Lorentz-polarization factor, no thermal factor.

Main lines, by angle (10 to 90 degrees two-theta):
2θ/deg  d [Å]  intensity  (hkl)
29.07  3.071  37  1 1 1
29.64  3.014  43  0 2 1
34.60  2.593  27  1 3 0
39.01  2.309  60  2 2 0
39.89  2.260  60  2 0 1
41.16  2.193  100  1 3 1
44.04  2.056  44  0 0 2
59.29  1.559  23  1 5 1
60.27  1.536  31  2 2 2
64.65  1.442  24  3 3 1

Cell lengths 5.411, 8.862, 4.113 Å; angles 90.00, 90.00, 90.00 degrees
Space group Cmm2 (No. 35)
Unique sites:
La  0.000  0.000  0.000 x2
Co  0.000  0.364  0.979 x4
Co  0.000  0.500  0.483 x2
Co  0.250  0.250  0.486 x4
H  0.000  0.147  0.504 x4
H  0.250  0.250  0.062 x4


No. 3
Structure and computed PXRD pattern of CaCd2Sb2 (DFT lattice parameters and positions (PBE); Cu Kα (weighted mean of Kα1 and Kα2)).
Kinematic intensities with the Lorentz-polarization factor, no thermal factor.

Main lines, by angle (10 to 90 degrees two-theta):
2θ/deg  d [Å]  intensity  (hkl)
21.70  4.095  58  1 0 0
24.66  3.611  38  1 0 1
32.02  2.795  100  1 0 2
38.06  2.364  97  1 1 0
41.72  2.165  61  1 0 3
45.08  2.011  21  1 1 2
50.56  1.805  27  0 2 2
57.74  1.597  23  0 2 3
65.03  1.434  43  0 1 5
71.27  1.323  24  2 1 3

Cell lengths 4.7288, 4.7288, 7.6506 Å; angles 90.00, 90.00, 120.00 degrees
Space group P-3m1 (No. 164)
Unique sites:
Ca  0.0000  0.0000  0.0000 x1
Cd  0.3333  0.6667  0.3694 x2
Sb  0.3333  0.6667  0.7644 x2


No. 4
Structure and computed PXRD pattern of LaY3 (DFT lattice parameters and positions (PBE); Cu Kα (weighted mean of Kα1 and Kα2)).
Kinematic intensities with the Lorentz-polarization factor, no thermal factor.

Main lines, by angle (10 to 90 degrees two-theta):
2θ/deg  d [Å]  intensity  (hkl)
17.31  5.124  3  1 0 0
24.57  3.623  3  1 1 0
30.21  2.958  100  1 1 1
35.02  2.562  50  2 0 0
50.37  1.812  35  2 2 0
59.87  1.545  41  3 1 1
62.82  1.479  12  2 2 2
74.00  1.281  5  4 0 0
81.96  1.176  16  3 3 1
84.57  1.146  15  4 2 0

Cell lengths 5.124, 5.124, 5.124 Å; angles 90.00, 90.00, 90.00 degrees
Space group Pm-3m (No. 221)
Unique sites:
La  0.000  0.000  0.000 x1
Y  0.000  0.500  0.500 x3


No. 5
Structure and computed PXRD pattern of OsS2 (DFT lattice parameters and positions (PBE); Cu Kα (weighted mean of Kα1 and Kα2)).
Kinematic intensities with the Lorentz-polarization factor, no thermal factor.

Main lines, by angle (10 to 90 degrees two-theta):
2θ/deg  d [Å]  intensity  (hkl)
27.27  3.270  100  1 1 1
31.59  2.832  78  2 0 0
35.44  2.533  6  2 1 0
38.95  2.312  5  2 1 1
45.28  2.003  55  2 2 0
53.67  1.708  81  3 1 1
56.26  1.635  19  2 2 2
72.78  1.299  23  3 3 1
74.99  1.267  23  4 2 0
83.64  1.156  19  4 2 2

Cell lengths 5.664, 5.664, 5.664 Å; angles 90.00, 90.00, 90.00 degrees
Space group Pa-3 (No. 205)
Unique sites:
Os  0.000  0.000  0.000 x4
S  0.116  0.616  0.884 x8


No. 6
Structure and computed PXRD pattern of Zn3N2 (DFT lattice parameters and positions (PBE); Cu Kα (weighted mean of Kα1 and Kα2)).
Kinematic intensities with the Lorentz-polarization factor, no thermal factor.

Main lines, by angle (10 to 90 degrees two-theta):
2θ/deg  d [Å]  intensity  (hkl)
31.19  2.868  69  1 0 1
33.81  2.651  88  1 0 2
37.82  2.379  100  1 0 3
42.89  2.109  63  1 0 4
45.15  2.008  36  0 0 6
48.78  1.867  28  1 0 5
53.78  1.705  77  1 1 0
67.61  1.386  17  2 0 3
70.14  1.342  18  1 0 8
72.77  1.300  47  1 1 6

Cell lengths 3.4091, 3.4091, 12.0499 Å; angles 90.00, 90.00, 120.00 degrees
Space group P6_3/mmc (No. 194)
Unique sites:
Zn  0.0000  0.0000  0.2500 x2
Zn  0.3333  0.6667  0.0791 x4
N  0.0000  0.0000  0.0000 x2
N  0.3333  0.6667  0.2500 x2


No. 7
Structure and computed PXRD pattern of Lu3Tl2Cu5Se8 (DFT lattice parameters and positions (PBE); Cu Kα (weighted mean of Kα1 and Kα2)).
Kinematic intensities with the Lorentz-polarization factor, no thermal factor.

Main lines, by angle (10 to 90 degrees two-theta):
2θ/deg  d [Å]  intensity  (hkl)
25.09  3.550  41  4 0 -1
28.85  3.094  43  3 1 -1
29.71  3.007  100  3 1 0
32.54  2.752  69  0 0 5
35.29  2.543  40  3 1 2
38.46  2.341  40  5 1 -2
40.33  2.236  38  6 0 0
42.17  2.143  40  6 0 -5
44.58  2.032  58  0 2 0
56.26  1.635  34  0 2 5

Cell lengths 14.320, 4.065, 14.697 Å; angles 90.00, 110.57, 90.00 degrees
Space group Cm (No. 8)
Unique sites:
Lu  0.000  0.000  0.000 x2
Lu  0.136  0.000  0.384 x2
Lu  0.301  0.000  0.767 x2
Tl  0.328  0.000  0.184 x2
Tl  0.478  0.500  0.590 x2
Cu  0.053  0.500  0.846 x2
Cu  0.109  0.500  0.191 x2
Cu  0.185  0.500  0.575 x2
Cu  0.248  0.500  0.923 x2
Cu  0.353  0.000  0.415 x2
Se  0.011  0.000  0.191 x2
Se  0.028  0.500  0.432 x2
Se  0.142  0.500  0.027 x2
Se  0.159  0.500  0.741 x2
Se  0.258  0.500  0.340 x2
Se  0.283  0.000  0.571 x2
Se  0.350  0.000  0.970 x2
Se  0.450  0.500  0.797 x2


What is the formula in the fourth record?
LaY3